Entry 1:
Te2Mo3WSe2S4: calculated powder diffractogram (Cu Kα (λ = 1.5418 Å)), based on a PBE-relaxed structure.
Intensities are scaled so that the largest is 100.

a b c (Å): 3.3055 3.3055 38.6506
angles (deg): 90.00 90.00 120.00
Space group P3m1 (No. 156)
Unique sites:
Te1 0.0000 0.0000 0.0000 x1
Te2 0.0000 0.0000 0.0990 x1
Mo1 0.0000 0.0000 0.2401 x1
Mo2 0.0000 0.0000 0.8617 x1
Mo3 0.3333 0.6667 0.0495 x1
W1 0.3333 0.6667 0.4267 x1
Se1 0.3333 0.6667 0.1966 x1
Se2 0.3333 0.6667 0.2835 x1
S1 0.0000 0.0000 0.3870 x1
S2 0.0000 0.0000 0.4664 x1
S3 0.3333 0.6667 0.8222 x1
S4 0.3333 0.6667 0.9013 x1

The 12 most intense peaks (2θ = 5–70°), by intensity:
| h k l | Position (°2θ) | I/Imax |
| --- | --- | --- |
| 0 0 5 | 11.45 | 100 |
| 1 0 8 | 36.48 | 70 |
| 1 0 0 | 31.28 | 48 |
| 0 1 13 | 43.91 | 46 |
| 0 0 3 | 6.86 | 27 |
| 1 1 0 | 55.62 | 27 |
| 1 0 9 | 37.77 | 14 |
| 1 0 5 | 33.38 | 14 |
| 1 0 14 | 45.65 | 13 |
| 0 0 6 | 13.75 | 13 |
| 0 1 7 | 35.32 | 13 |
| 0 0 7 | 16.05 | 13 |

Entry 2:
TeMoWSe2S: calculated powder diffractogram (Cu Kα (λ = 1.5418 Å)), based on a PBE-relaxed structure.
Intensities are scaled so that the largest is 100.

a b c (Å): 3.3435 3.3435 38.0642
angles (deg): 90.00 90.00 120.00
Space group P3m1 (No. 156)
Unique sites:
Te1 0.0000 0.0000 0.0000 x1
Te2 0.0000 0.0000 0.1002 x1
Mo1 0.0000 0.0000 0.8622 x1
Mo2 0.6667 0.3333 0.6743 x1
W1 0.0000 0.0000 0.2380 x1
W2 0.6667 0.3333 0.0501 x1
Se1 0.0000 0.0000 0.6306 x1
Se2 0.0000 0.0000 0.7181 x1
Se3 0.6667 0.3333 0.8185 x1
Se4 0.6667 0.3333 0.9059 x1
S1 0.6667 0.3333 0.1979 x1
S2 0.6667 0.3333 0.2780 x1

The 12 most intense peaks (2θ = 5–70°), by intensity:
| h k l | Position (°2θ) | I/Imax |
| --- | --- | --- |
| 0 0 5 | 11.62 | 100 |
| 1 0 8 | 36.32 | 82 |
| 0 1 13 | 43.98 | 47 |
| 1 0 0 | 30.90 | 45 |
| 1 1 0 | 54.94 | 31 |
| 0 0 3 | 6.97 | 25 |
| 0 0 6 | 13.96 | 16 |
| 1 0 9 | 37.65 | 16 |
| 1 0 14 | 45.78 | 16 |
| 0 1 7 | 35.11 | 14 |
| 1 0 5 | 33.10 | 13 |
| 0 2 8 | 67.64 | 13 |